Diffraction record for La2Sm2CI5. The PXRD pattern is computed, not measured: it uses a crystal structure in OQMD, relaxed with GGA-PBE and λ = 1.5418 Å (Cu Kα).
No peak broadening, texture or thermal motion is included.

Structural model:
a b c (Å): 9.9774 9.9774 8.9929
angles (deg): 102.30 102.30 23.90
Positions (direct):
1 La 0.0014 0.0014 0.3036
2 La 0.9986 0.9986 0.6964
3 Sm 0.3690 0.3690 0.4348
4 Sm 0.6310 0.6310 0.5652
5 C 0.5000 0.5000 0.5000
6 I 0.1670 0.1670 0.8346
7 I 0.1724 0.1724 0.3321
8 I 0.5000 0.5000 0.0000
9 I 0.8276 0.8276 0.6679
10 I 0.8330 0.8330 0.1654

Principal peaks in the range 5° ≤ 2θ ≤ 70°, by angle:
two_theta  Rel. int.
10.1  27.1
28.1  40.0
29.4  100.0
31.9  34.3
40.9  25.5
41.3  25.1